(1)
For Li4CrFe3O8, a DFT-relaxed cell (GGA+U, the Materials Project) gives the theoretical powder diffractogram in this record (Cu Ka).
Intensities are scaled so that the largest is 100.

The 8 most intense peaks (2θ from 10° to 90°), by angle:
4.885 Å, 2θ = 18.16°, intensity 100
2.540 Å, 2θ = 35.33°, intensity 43
2.433 Å, 2θ = 36.95°, intensity 13
2.109 Å, 2θ = 42.88°, intensity 81
1.936 Å, 2θ = 46.92°, intensity 14
1.494 Å, 2θ = 62.15°, intensity 22
1.489 Å, 2θ = 62.35°, intensity 22
1.424 Å, 2θ = 65.53°, intensity 14

Cell and atoms:
```
32
Lattice="5.179 0.000 0.000 0.859 7.833 0.000 2.567 0.849 7.402" Properties=species:S:1:pos:R:3 pbc="T T T"
Li 1.286 1.846 3.234
Li 7.319 6.836 4.167
Li 2.145 4.017 5.083
Li 1.289 7.504 1.383
Li 3.006 6.180 6.929
Li 5.599 2.502 0.473
Li 7.316 1.178 6.019
Li 6.460 4.665 2.318
Cr 3.876 3.258 2.778
Cr 4.730 5.424 4.623
Fe 4.726 2.599 5.550
Fe 3.873 0.424 3.701
Fe 3.018 1.089 0.928
Fe 3.019 3.916 0.000
Fe 5.587 7.593 6.474
Fe 3.880 6.083 1.851
O 3.958 1.549 7.138
O 2.250 5.698 0.663
O 3.106 7.868 2.510
O 3.965 4.386 6.202
O 3.110 2.215 4.351
O 2.261 2.873 1.596
O 3.966 7.196 5.279
O 3.124 5.028 3.439
O 5.481 3.654 3.963
O 4.639 1.486 2.122
O 6.344 5.809 5.805
O 5.495 6.467 3.050
O 4.640 4.296 1.199
O 5.499 0.814 4.891
O 6.355 2.984 6.739
O 4.647 7.133 0.264
```

=====

(2)
For Li6Cr3CoP6O24, a DFT-relaxed cell (GGA+U, the Materials Project) gives the theoretical powder diffractogram in this record (Cu Ka).
Intensities are scaled so that the largest is 100.

The 8 most intense peaks (2θ from 10° to 90°), by angle:
6.077 Å, 2θ = 14.58°, intensity 18
4.344 Å, 2θ = 20.45°, intensity 29
4.250 Å, 2θ = 20.90°, intensity 57
3.671 Å, 2θ = 24.25°, intensity 100
3.038 Å, 2θ = 29.40°, intensity 37
2.817 Å, 2θ = 31.77°, intensity 21
2.696 Å, 2θ = 33.23°, intensity 23
2.508 Å, 2θ = 35.81°, intensity 23

Cell and atoms:
```
40
Lattice="8.481 0.000 0.000 4.070 7.478 0.000 4.069 2.423 7.077" Properties=species:S:1:pos:R:3 pbc="T T T"
Li 0.000 0.000 0.000
Li 6.564 5.973 6.483
Li 8.420 7.933 4.566
Li 8.410 5.917 2.128
Li 8.223 3.029 1.053
Li 10.130 2.066 3.485
Cr 5.843 6.500 3.580
Cr 10.561 9.335 5.579
Cr 6.063 1.597 0.051
Co 10.773 4.403 2.082
P 12.534 3.969 4.873
P 2.935 1.214 1.323
P 5.347 4.735 0.748
P 8.331 4.390 4.317
P 11.236 7.632 2.832
P 13.699 8.260 6.395
O 2.088 2.539 1.465
O 5.068 5.092 4.678
O 3.845 4.401 0.948
O 4.691 2.558 5.050
O 6.931 7.979 2.714
O 2.186 0.481 0.203
O 6.000 5.530 1.892
O 9.368 8.001 6.514
O 7.665 5.795 4.110
O 4.408 1.388 1.057
O 7.351 3.252 4.507
O 6.250 3.497 0.601
O 10.347 8.189 3.958
O 9.276 4.585 5.477
O 12.228 8.439 6.102
O 9.031 4.042 2.936
O 7.233 1.126 1.613
O 10.563 6.280 2.469
O 14.440 9.566 6.685
O 9.644 4.795 0.509
O 11.911 4.280 6.268
O 12.716 7.538 3.228
O 11.519 3.762 3.731
O 14.547 7.618 5.252
```

=====

(3)
For Sr2CoCl2O2, a DFT-relaxed cell (GGA+U, the Materials Project) gives the theoretical powder diffractogram in this record (Cu Ka).
Intensities are scaled so that the largest is 100.

The 8 most intense peaks (2θ from 10° to 90°), by angle:
7.678 Å, 2θ = 11.53°, intensity 56
2.903 Å, 2θ = 30.80°, intensity 100
2.475 Å, 2θ = 36.29°, intensity 70
2.443 Å, 2θ = 36.78°, intensity 68
2.091 Å, 2θ = 43.27°, intensity 29
2.017 Å, 2θ = 44.94°, intensity 29
1.589 Å, 2θ = 58.06°, intensity 34
1.564 Å, 2θ = 59.08°, intensity 32

Cell and atoms:
```
28
Lattice="8.067 0.000 0.000 2.016 7.960 0.000 4.033 2.210 8.067" Properties=species:S:1:pos:R:3 pbc="T T T"
Sr 1.007 2.403 0.427
Sr 5.033 6.657 3.607
Sr 5.032 3.509 4.462
Sr 9.075 7.771 7.637
Sr 5.041 2.399 0.429
Sr 9.084 6.661 3.604
Sr 9.083 3.514 4.459
Sr 13.109 7.768 7.639
Co 3.025 4.529 2.007
Co 7.059 5.639 6.053
Co 7.057 4.532 2.013
Co 11.091 5.641 6.059
Cl 3.025 7.175 1.294
Cl 3.023 1.890 2.735
Cl 7.055 8.296 5.329
Cl 7.058 2.981 6.775
Cl 7.058 7.189 1.291
Cl 7.060 1.874 2.738
Cl 11.093 8.280 5.332
Cl 11.091 2.996 6.773
O 3.024 5.085 4.033
O 5.016 5.639 6.057
O 7.059 6.176 8.016
O 5.016 4.532 2.014
O 7.058 5.085 4.033
O 9.099 5.638 6.052
O 7.057 3.994 0.051
O 9.100 4.531 2.010
```

=====

(4)
For Li9Mn2Co5O16, a DFT-relaxed cell (GGA+U, the Materials Project) gives the theoretical powder diffractogram in this record (Cu Ka).
Intensities are scaled so that the largest is 100.

The 8 most intense peaks (2θ from 10° to 90°), by angle:
4.871 Å, 2θ = 18.21°, intensity 100
2.569 Å, 2θ = 34.93°, intensity 13
2.494 Å, 2θ = 36.01°, intensity 25
2.143 Å, 2θ = 42.17°, intensity 26
2.072 Å, 2θ = 43.69°, intensity 53
1.602 Å, 2θ = 57.52°, intensity 10
1.491 Å, 2θ = 62.26°, intensity 14
1.488 Å, 2θ = 62.42°, intensity 12

Cell and atoms:
```
32
Lattice="5.907 0.000 0.000 0.000 2.907 0.000 -0.059 0.000 17.142" Properties=species:S:1:pos:R:3 pbc="T T T"
Li 0.000 0.000 0.000
Li -0.030 0.000 8.571
Li 1.485 1.454 2.211
Li 1.466 1.454 10.514
Li 2.925 0.000 4.416
Li 2.924 0.000 8.571
Li 2.922 0.000 12.727
Li 4.381 1.454 6.628
Li 4.362 1.454 14.932
Mn 1.410 1.454 14.998
Mn 4.437 1.454 2.144
Co 0.058 0.000 4.390
Co 1.518 1.454 6.692
Co 2.953 0.000 0.000
Co 4.330 1.454 10.451
Co 5.790 0.000 12.753
O 0.091 0.000 6.345
O 0.100 0.000 15.018
O 1.337 1.454 4.230
O 1.323 1.454 13.048
O 1.428 1.454 8.475
O 1.466 1.454 16.965
O 2.734 0.000 14.975
O 2.815 0.000 6.413
O 3.032 0.000 10.730
O 3.114 0.000 2.168
O 4.382 1.454 0.177
O 4.420 1.454 8.668
O 4.525 1.454 4.094
O 4.511 1.454 12.912
O 5.748 0.000 2.124
O 5.756 0.000 10.797
```

=====

(5)
For MgNi2O5, a DFT-relaxed cell (GGA+U, the Materials Project) gives the theoretical powder diffractogram in this record (Cu Ka).
Intensities are scaled so that the largest is 100.

The 8 most intense peaks (2θ from 10° to 90°), by angle:
5.400 Å, 2θ = 16.42°, intensity 100
3.806 Å, 2θ = 23.37°, intensity 19
3.640 Å, 2θ = 24.46°, intensity 11
3.447 Å, 2θ = 25.85°, intensity 29
2.551 Å, 2θ = 35.18°, intensity 22
2.403 Å, 2θ = 37.43°, intensity 13
2.121 Å, 2θ = 42.62°, intensity 12
1.933 Å, 2θ = 47.01°, intensity 15

Cell and atoms:
```
16
Lattice="1.933 -5.400 0.000 1.933 5.400 0.000 0.000 0.000 10.731" Properties=species:S:1:pos:R:3 pbc="T T T"
Mg 1.933 4.091 8.048
Mg 1.933 -4.091 2.683
Ni 1.933 2.805 1.044
Ni 1.933 2.805 4.321
Ni 1.933 -2.805 6.410
Ni 1.933 -2.805 9.687
O 1.933 4.643 2.005
O 1.933 4.643 3.361
O 1.933 2.994 6.246
O 1.933 2.994 9.851
O 1.933 1.796 2.683
O 1.933 -1.796 8.048
O 1.933 -2.994 0.880
O 1.933 -2.994 4.485
O 1.933 -4.643 7.370
O 1.933 -4.643 8.727
```